Entry 1:
This entry pairs a crystal structure of Na2AcCrO4 with its computed powder XRD pattern. Radiation: Cu Ka. Structure: a crystal structure in Alexandria, relaxed with GGA+U.
No peak broadening, texture or thermal motion is included.

The 10 most intense peaks (10 to 90 degrees two-theta), sorted by position:
15.87°, intensity 100
18.05°, intensity 23
30.31°, intensity 20
30.57°, intensity 41
31.79°, intensity 32
32.03°, intensity 16
36.57°, intensity 23
37.27°, intensity 46
40.30°, intensity 19
53.30°, intensity 22

Structural model:
a = 5.9608 Å, b = 3.4346 Å, c = 5.9790 Å
α = 90.00°, β = 110.80°, γ = 90.00°
Positions (direct):
Na 0.0000 0.0000 0.0000
Na 0.5000 0.5000 0.0000
Ac 0.0000 0.5000 0.5000
Cr 0.5000 0.0000 0.5000
O 0.2908 0.0000 0.7121
O 0.2927 0.5000 0.2937
O 0.7073 0.5000 0.7063
O 0.7092 0.0000 0.2879

=====

Entry 2:
This entry pairs a crystal structure of NaAc2CrO6 with its computed powder XRD pattern. Radiation: Cu Ka. Structure: a crystal structure in Alexandria, relaxed with GGA+U.
No peak broadening, texture or thermal motion is included.

The 10 most intense peaks (10 to 90 degrees two-theta), sorted by position:
18.38°, intensity 40
22.49°, intensity 39
29.20°, intensity 100
32.02°, intensity 39
37.19°, intensity 48
43.95°, intensity 22
45.91°, intensity 22
49.90°, intensity 39
55.34°, intensity 34
79.16°, intensity 14

Structural model:
a = 5.5912 Å, b = 5.5912 Å, c = 4.8270 Å
α = 90.00°, β = 90.00°, γ = 90.00°
Positions (direct):
Na 0.0000 0.0000 0.0000
Ac 0.0000 0.5000 0.4385
Ac 0.5000 0.0000 0.4385
Cr 0.5000 0.5000 0.0022
O 0.0000 0.0000 0.5323
O 0.2794 0.2794 0.1246
O 0.2794 0.7206 0.1246
O 0.5000 0.5000 0.6464
O 0.7206 0.2794 0.1246
O 0.7206 0.7206 0.1246

=====

Entry 3:
This entry pairs a crystal structure of AcNdCr2O8 with its computed powder XRD pattern. Radiation: Cu Ka. Structure: a crystal structure in Alexandria, relaxed with GGA+U.
No peak broadening, texture or thermal motion is included.

The 10 most intense peaks (10 to 90 degrees two-theta), sorted by position:
17.88°, intensity 44
23.55°, intensity 100
29.73°, intensity 20
31.96°, intensity 71
33.55°, intensity 25
38.27°, intensity 16
45.43°, intensity 16
47.02°, intensity 59
48.18°, intensity 15
58.99°, intensity 17

Structural model:
a = 6.2728 Å, b = 6.2728 Å, c = 6.2728 Å
α = 105.94°, β = 105.94°, γ = 116.78°
Positions (direct):
Ac 0.0000 0.0000 0.0000
Nd 0.7500 0.2500 0.5000
Cr 0.2500 0.7500 0.5000
Cr 0.5000 0.5000 0.0000
O 0.0772 0.4051 0.3279
O 0.0772 0.7493 0.6721
O 0.1577 0.3392 0.8185
O 0.2507 0.9228 0.3279
O 0.5208 0.3392 0.1815
O 0.5949 0.9228 0.6721
O 0.6608 0.4792 0.8185
O 0.6608 0.8423 0.1815

=====

Entry 4:
This entry pairs a crystal structure of AcCr4O12 with its computed powder XRD pattern. Radiation: Cu Ka. Structure: a crystal structure in Alexandria, relaxed with GGA+U.
No peak broadening, texture or thermal motion is included.

The 10 most intense peaks (10 to 90 degrees two-theta), sorted by position:
13.66°, intensity 100
14.67°, intensity 96
15.90°, intensity 80
16.35°, intensity 79
17.00°, intensity 72
17.55°, intensity 100
18.07°, intensity 81
24.61°, intensity 84
25.20°, intensity 77
30.17°, intensity 97

Structural model:
a = 6.6381 Å, b = 6.8704 Å, c = 7.3871 Å
α = 69.44°, β = 63.39°, γ = 63.55°
Positions (direct):
Ac 0.0000 0.0000 0.0000
Cr 0.0368 0.9455 0.4944
Cr 0.1421 0.4646 0.7758
Cr 0.5209 0.5048 0.9265
Cr 0.6057 0.7934 0.4572
O 0.1022 0.0937 0.2586
O 0.1635 0.6377 0.5337
O 0.2023 0.5841 0.9169
O 0.3103 0.9438 0.5421
O 0.3170 0.2033 0.7802
O 0.4082 0.7274 0.0283
O 0.5405 0.2573 0.0732
O 0.6497 0.5524 0.6275
O 0.6954 0.7478 0.2286
O 0.7719 0.9346 0.4332
O 0.8571 0.0449 0.7094
O 0.8619 0.4314 0.9006

=====

Entry 5:
This entry pairs a crystal structure of AcCr3O12 with its computed powder XRD pattern. Radiation: Cu Ka. Structure: a crystal structure in Alexandria, relaxed with GGA+U.
No peak broadening, texture or thermal motion is included.

The 10 most intense peaks (10 to 90 degrees two-theta), sorted by position:
13.33°, intensity 100
16.93°, intensity 51
22.59°, intensity 33
24.68°, intensity 19
26.84°, intensity 19
27.58°, intensity 49
32.40°, intensity 18
34.12°, intensity 20
36.21°, intensity 17
40.34°, intensity 22

Structural model:
a = 11.0088 Å, b = 11.0088 Å, c = 11.0088 Å
α = 45.95°, β = 45.95°, γ = 45.95°
Positions (direct):
Ac 0.0000 0.0000 0.0000
Ac 0.5000 0.5000 0.5000
Cr 0.0764 0.3885 0.7088
Cr 0.2088 0.8885 0.5764
Cr 0.3885 0.7088 0.0764
Cr 0.5764 0.2088 0.8885
Cr 0.7088 0.0764 0.3885
Cr 0.8885 0.5764 0.2088
O 0.0887 0.4424 0.1003
O 0.1003 0.0887 0.4424
O 0.1493 0.9078 0.7514
O 0.1537 0.2249 0.6625
O 0.1625 0.7249 0.6537
O 0.2249 0.6625 0.1537
O 0.2514 0.4078 0.6493
O 0.3165 0.9369 0.9491
O 0.4078 0.6493 0.2514
O 0.4369 0.8165 0.4491
O 0.4424 0.1003 0.0887
O 0.4491 0.4369 0.8165
O 0.5887 0.6003 0.9424
O 0.6003 0.9424 0.5887
O 0.6493 0.2514 0.4078
O 0.6537 0.1625 0.7249
O 0.6625 0.1537 0.2249
O 0.7249 0.6537 0.1625
O 0.7514 0.1493 0.9078
O 0.8165 0.4491 0.4369
O 0.9078 0.7514 0.1493
O 0.9369 0.9491 0.3165
O 0.9424 0.5887 0.6003
O 0.9491 0.3165 0.9369

=====

Entry 6:
This entry pairs a crystal structure of Ac2CrO6 with its computed powder XRD pattern. Radiation: Cu Ka. Structure: a crystal structure in Alexandria, relaxed with GGA+U.
No peak broadening, texture or thermal motion is included.

The 10 most intense peaks (10 to 90 degrees two-theta), sorted by position:
21.18°, intensity 92
23.05°, intensity 62
23.59°, intensity 52
24.70°, intensity 46
30.11°, intensity 73
30.62°, intensity 70
32.36°, intensity 100
44.13°, intensity 28
45.14°, intensity 30
46.65°, intensity 35

Structural model:
a = 5.5469 Å, b = 6.4307 Å, c = 9.1926 Å
α = 90.00°, β = 122.91°, γ = 90.00°
Positions (direct):
Ac 0.2218 0.0945 0.2535
Ac 0.2218 0.4055 0.7535
Ac 0.7782 0.5945 0.2465
Ac 0.7782 0.9055 0.7465
Cr 0.5000 0.0000 0.0000
Cr 0.5000 0.5000 0.5000
O 0.1734 0.1409 0.9584
O 0.1734 0.3591 0.4584
O 0.3073 0.7435 0.9434
O 0.3073 0.7565 0.4434
O 0.3777 0.0378 0.7725
O 0.3777 0.4622 0.2725
O 0.6223 0.5378 0.7275
O 0.6223 0.9622 0.2275
O 0.6927 0.2435 0.5566
O 0.6927 0.2565 0.0566
O 0.8266 0.6409 0.5416
O 0.8266 0.8591 0.0416

=====

Entry 7:
This entry pairs a crystal structure of AcPaCr2O8 with its computed powder XRD pattern. Radiation: Cu Ka. Structure: a crystal structure in Alexandria, relaxed with GGA+U.
No peak broadening, texture or thermal motion is included.

The 10 most intense peaks (10 to 90 degrees two-theta), sorted by position:
18.05°, intensity 62
24.07°, intensity 100
30.25°, intensity 25
32.16°, intensity 76
34.30°, intensity 26
39.02°, intensity 17
46.37°, intensity 17
47.73°, intensity 63
49.29°, intensity 16
60.08°, intensity 18

Structural model:
a = 6.1768 Å, b = 6.1768 Å, c = 6.1768 Å
α = 106.45°, β = 106.45°, γ = 115.69°
Positions (direct):
Ac 0.0000 0.0000 0.0000
Pa 0.2500 0.7500 0.5000
Cr 0.5000 0.5000 0.0000
Cr 0.7500 0.2500 0.5000
O 0.3318 0.1378 0.8060
O 0.3318 0.5258 0.1940
O 0.3846 0.0526 0.3321
O 0.4742 0.6682 0.8060
O 0.7205 0.0526 0.6679
O 0.8622 0.6682 0.1940
O 0.9474 0.2795 0.3321
O 0.9474 0.6154 0.6679

=====

Entry 8:
This entry pairs a crystal structure of AcCr2PbO8 with its computed powder XRD pattern. Radiation: Cu Ka. Structure: a crystal structure in Alexandria, relaxed with GGA+U.
No peak broadening, texture or thermal motion is included.

The 10 most intense peaks (10 to 90 degrees two-theta), sorted by position:
17.44°, intensity 100
21.12°, intensity 18
29.64°, intensity 84
30.44°, intensity 58
38.99°, intensity 35
43.01°, intensity 40
47.28°, intensity 18
52.09°, intensity 17
53.60°, intensity 32
70.20°, intensity 15

Structural model:
a = 5.8729 Å, b = 5.8729 Å, c = 7.4828 Å
α = 90.00°, β = 90.00°, γ = 120.00°
Positions (direct):
Ac 0.0000 0.0000 0.0000
Cr 0.3333 0.6667 0.3077
Cr 0.6667 0.3333 0.6923
Pb 0.0000 0.0000 0.5000
O 0.1733 0.3466 0.2339
O 0.1733 0.8267 0.2339
O 0.3333 0.6667 0.5259
O 0.3466 0.1733 0.7661
O 0.6534 0.8267 0.2339
O 0.6667 0.3333 0.4741
O 0.8267 0.1733 0.7661
O 0.8267 0.6534 0.7661